For W2Se3S, a crystal structure in OQMD, relaxed with PBE gives the simulated X-ray diffraction stick pattern in this record (Cu Kα (λ = 1.5418 Å)).
Kinematic intensities with the Lorentz-polarization factor, no thermal factor.

Principal peaks in the range 2θ = 10–90°, by intensity:
2θ = 37.28°, d = 2.412 Å, rel. 100.0, hkl 1 1 5
2θ = 42.23°, d = 2.140 Å, rel. 91.3, hkl 1 1 -7
2θ = 15.59°, d = 5.683 Å, rel. 74.7, hkl 0 0 4
2θ = 31.69°, d = 2.824 Å, rel. 68.9, hkl 1 1 1
2θ = 33.64°, d = 2.664 Å, rel. 67.3, hkl 1 1 3
2θ = 39.62°, d = 2.275 Å, rel. 63.6, hkl 2 0 -6
2θ = 56.13°, d = 1.639 Å, rel. 48.0, hkl 3 1 1
2θ = 35.27°, d = 2.545 Å, rel. 42.8, hkl 2 0 -4
2θ = 48.17°, d = 1.889 Å, rel. 42.5, hkl 1 1 -9
2θ = 45.09°, d = 2.011 Å, rel. 33.9, hkl 2 0 8

Cell and atoms:
Cell lengths 5.6916, 3.2860, 22.7314 Å; angles 90.00, 90.00, 90.00 degrees
Space group Cm (No. 8)
Inequivalent atoms, fractional coordinates:
W 0.0000 0.0000 0.0000
W 0.0000 0.5000 0.4974
Se 0.1667 0.0000 0.5724
Se 0.1667 0.5000 0.0746
Se 0.1667 0.5000 0.9254
S 0.1667 0.0000 0.4303